1.
Computed powder XRD pattern of Mn2Fe3SnP6O24 for Cu Kα (λ = 1.5418 Å), from a crystal structure in the Materials Project, relaxed with PBE+U.
Kinematic intensities with the Lorentz-polarization factor, no thermal factor.

Cell and atoms:
```
Mn2Fe3SnP6O24
1.0
4.3475 2.5100 7.0751
-4.3475 2.5100 7.0751
0.0000 -5.0201 7.0751
Mn Fe Sn P O
2 3 1 6 24
direct
0.0000 0.0000 0.0000 Mn
0.4958 0.4958 0.4958 Mn
0.1459 0.1459 0.1459 Fe
0.3532 0.3532 0.3532 Fe
0.8539 0.8539 0.8539 Fe
0.6439 0.6439 0.6439 Sn
0.0473 0.4522 0.7514 P
0.2460 0.9587 0.5445 P
0.4522 0.7514 0.0473 P
0.5445 0.2460 0.9587 P
0.7514 0.0473 0.4522 P
0.9587 0.5445 0.2460 P
0.0020 0.6121 0.8116 O
0.0626 0.2577 0.9128 O
0.0868 0.9404 0.7406 O
0.1115 0.5053 0.3126 O
0.1836 0.9961 0.3894 O
0.2396 0.4373 0.5883 O
0.2577 0.9128 0.0626 O
0.3126 0.1115 0.5053 O
0.3894 0.1836 0.9961 O
0.4090 0.7606 0.5585 O
0.4373 0.5883 0.2396 O
0.4834 0.6894 0.8922 O
0.5053 0.3126 0.1115 O
0.5585 0.4090 0.7606 O
0.5883 0.2396 0.4373 O
0.6121 0.8116 0.0020 O
0.6894 0.8922 0.4834 O
0.7406 0.0868 0.9404 O
0.7606 0.5585 0.4090 O
0.8116 0.0020 0.6121 O
0.8922 0.4834 0.6894 O
0.9128 0.0626 0.2577 O
0.9404 0.7406 0.0868 O
0.9961 0.3894 0.1836 O
```

Top 6 peaks for 2θ = 5–70°, by intensity:
d 4.346, rel. 100; d 3.704, rel. 76; d 2.744, rel. 68; d 2.510, rel. 42; d 1.642, rel. 36; d 1.852, rel. 27

2.
Computed powder XRD pattern of BaCaNiF7 for Cu Kα (λ = 1.5418 Å), from a crystal structure in the Materials Project, relaxed with PBE+U.
Kinematic intensities with the Lorentz-polarization factor, no thermal factor.

Cell and atoms:
```
BaCaNiF7
1.0
5.6996 0.0000 0.0000
0.0000 10.5948 0.0000
-0.3067 0.0000 9.9195
Ba Ca Ni F
4 4 4 28
direct
0.2379 0.1667 0.4928 Ba
0.2379 0.3333 0.9928 Ba
0.7621 0.6667 0.0072 Ba
0.7621 0.8333 0.5072 Ba
0.2084 0.5920 0.3221 Ca
0.2084 0.9080 0.8221 Ca
0.7916 0.0920 0.1779 Ca
0.7916 0.4080 0.6779 Ca
0.3087 0.6223 0.6924 Ni
0.3087 0.8777 0.1924 Ni
0.6913 0.1223 0.8076 Ni
0.6913 0.3777 0.3076 Ni
0.0375 0.7024 0.7627 F
0.0375 0.7976 0.2627 F
0.1138 0.5429 0.1148 F
0.1138 0.9571 0.6148 F
0.1570 0.0324 0.1323 F
0.1570 0.4676 0.6323 F
0.2205 0.7011 0.5234 F
0.2205 0.7989 0.0234 F
0.4066 0.0789 0.8918 F
0.4066 0.4211 0.3918 F
0.4071 0.5436 0.8536 F
0.4071 0.9564 0.3536 F
0.4915 0.7267 0.2524 F
0.4915 0.7733 0.7524 F
0.5085 0.2267 0.2476 F
0.5085 0.2733 0.7476 F
0.5929 0.0436 0.6464 F
0.5929 0.4564 0.1464 F
0.5934 0.5789 0.6082 F
0.5934 0.9211 0.1082 F
0.7795 0.2011 0.9766 F
0.7795 0.2989 0.4766 F
0.8430 0.5324 0.3677 F
0.8430 0.9676 0.8677 F
0.8862 0.0429 0.3852 F
0.8862 0.4571 0.8852 F
0.9625 0.2024 0.7373 F
0.9625 0.2976 0.2373 F
```

Top 6 peaks for 2θ = 5–70°, by intensity:
d 3.639, rel. 100; d 3.581, rel. 80; d 3.480, rel. 74; d 2.327, rel. 43; d 3.156, rel. 36; d 2.247, rel. 36

3.
Computed powder XRD pattern of Ho2TeMo6O46 for Cu Kα (λ = 1.5418 Å), from a crystal structure in the Materials Project, relaxed with PBE+U.
Kinematic intensities with the Lorentz-polarization factor, no thermal factor.

Cell and atoms:
```
Ho2TeMo6O46
1.0
8.8191 0.0000 0.0000
3.3967 8.7855 0.0000
1.6395 2.8348 11.6411
Ho Te Mo O
2 1 6 46
direct
0.0153 0.9999 0.1899 Ho
0.9847 0.0001 0.8101 Ho
0.0000 0.5000 0.0000 Te
0.1406 0.5447 0.2423 Mo
0.2427 0.2340 0.8521 Mo
0.3731 0.2837 0.1024 Mo
0.6269 0.7163 0.8976 Mo
0.7573 0.7660 0.1479 Mo
0.8594 0.4553 0.7577 Mo
0.0268 0.6922 0.0356 O
0.0281 0.7304 0.5128 O
0.0771 0.1693 0.5513 O
0.0853 0.7978 0.9520 O
0.0923 0.3888 0.1494 O
0.1017 0.3899 0.7446 O
0.1360 0.8471 0.6894 O
0.1387 0.7352 0.2427 O
0.1852 0.0725 0.8434 O
0.1877 0.4298 0.3770 O
0.2229 0.4159 0.9359 O
0.2426 0.0161 0.0987 O
0.2477 0.8902 0.3794 O
0.2833 0.7355 0.7382 O
0.2962 0.1330 0.0304 O
0.3192 0.9370 0.4354 O
0.3370 0.4721 0.1533 O
0.3605 0.6353 0.6811 O
0.4181 0.1409 0.2281 O
0.4328 0.2085 0.7895 O
0.4350 0.6573 0.4238 O
0.4482 0.7383 0.9788 O
0.4971 0.2891 0.5243 O
0.5029 0.7109 0.4757 O
0.5518 0.2617 0.0212 O
0.5650 0.3427 0.5762 O
0.5672 0.7915 0.2105 O
0.5819 0.8591 0.7719 O
0.6395 0.3647 0.3189 O
0.6630 0.5279 0.8467 O
0.6808 0.0630 0.5646 O
0.7038 0.8670 0.9696 O
0.7167 0.2645 0.2618 O
0.7523 0.1098 0.6206 O
0.7574 0.9839 0.9013 O
0.7771 0.5841 0.0641 O
0.8123 0.5702 0.6230 O
0.8148 0.9275 0.1566 O
0.8613 0.2648 0.7573 O
0.8640 0.1529 0.3106 O
0.8983 0.6101 0.2554 O
0.9077 0.6112 0.8506 O
0.9147 0.2022 0.0480 O
0.9229 0.8307 0.4487 O
0.9719 0.2696 0.4872 O
0.9732 0.3078 0.9644 O
```

Top 6 peaks for 2θ = 5–70°, by intensity:
d 11.641, rel. 100; d 8.218, rel. 35; d 5.599, rel. 26; d 3.781, rel. 17; d 3.830, rel. 17; d 4.457, rel. 16

4.
Computed powder XRD pattern of Fe2Te3O12 for Cu Kα (λ = 1.5418 Å), from a crystal structure in the Materials Project, relaxed with PBE+U.
Kinematic intensities with the Lorentz-polarization factor, no thermal factor.

Cell and atoms:
```
Fe2Te3O12
1.0
6.8116 0.0000 0.0000
-1.9881 8.4811 0.0000
-2.5099 -4.0010 9.2096
Fe Te O
4 6 24
direct
0.0461 0.2121 0.0176 Fe
0.3739 0.9599 0.6155 Fe
0.6261 0.0401 0.3845 Fe
0.9539 0.7879 0.9824 Fe
0.1178 0.1178 0.3418 Te
0.2129 0.6724 0.2655 Te
0.3938 0.7222 0.8560 Te
0.6062 0.2778 0.1440 Te
0.7871 0.3276 0.7345 Te
0.8822 0.8822 0.6582 Te
0.0031 0.7258 0.1538 O
0.0729 0.0516 0.1410 O
0.1206 0.0165 0.6420 O
0.1841 0.4451 0.1785 O
0.1866 0.3463 0.4263 O
0.2199 0.7243 0.4549 O
0.2432 0.8099 0.9724 O
0.2589 0.4965 0.7444 O
0.3288 0.0299 0.4180 O
0.3363 0.2176 0.0100 O
0.4393 0.8671 0.7587 O
0.4782 0.7873 0.2663 O
0.5218 0.2127 0.7337 O
0.5607 0.1329 0.2413 O
0.6637 0.7824 0.9900 O
0.6712 0.9701 0.5820 O
0.7411 0.5035 0.2556 O
0.7568 0.1901 0.0276 O
0.7801 0.2757 0.5451 O
0.8134 0.6537 0.5737 O
0.8159 0.5549 0.8215 O
0.8794 0.9835 0.3580 O
0.9271 0.9484 0.8590 O
0.9969 0.2742 0.8462 O
```

Top 6 peaks for 2θ = 5–70°, by intensity:
d 3.316, rel. 100; d 3.347, rel. 48; d 3.160, rel. 43; d 4.186, rel. 34; d 3.296, rel. 31; d 7.779, rel. 31

5.
Computed powder XRD pattern of HoFe3B4O12 for Cu Kα (λ = 1.5418 Å), from a crystal structure in the Materials Project, relaxed with PBE+U.
Kinematic intensities with the Lorentz-polarization factor, no thermal factor.

Cell and atoms:
```
HoFe3B4O12
1.0
9.6001 0.0000 0.0000
-4.8000 8.3139 0.0000
0.0000 0.0000 7.6275
Ho Fe B O
3 9 12 36
direct
0.0000 0.6644 0.1667 Ho
0.3356 0.3356 0.5000 Ho
0.6644 0.0000 0.8333 Ho
0.0000 0.1160 0.1667 Fe
0.1160 0.0000 0.8333 Fe
0.2121 0.5493 0.8451 Fe
0.3371 0.7879 0.5117 Fe
0.4507 0.6629 0.1784 Fe
0.5493 0.2121 0.1549 Fe
0.6629 0.4507 0.8216 Fe
0.7879 0.3371 0.4883 Fe
0.8840 0.8840 0.5000 Fe
0.0000 0.2213 0.6667 B
0.0000 0.6688 0.6667 B
0.1253 0.4486 0.3493 B
0.2213 0.0000 0.3333 B
0.3233 0.8747 0.0160 B
0.3312 0.3312 0.0000 B
0.4486 0.1253 0.6507 B
0.5514 0.6767 0.6827 B
0.6688 0.0000 0.3333 B
0.6767 0.5514 0.3173 B
0.7787 0.7787 0.0000 B
0.8747 0.3233 0.9840 B
0.0000 0.0779 0.6667 O
0.0000 0.8125 0.6667 O
0.0085 0.4747 0.9831 O
0.0779 0.0000 0.3333 O
0.1245 0.3058 0.3233 O
0.1448 0.6704 0.6751 O
0.1475 0.3613 0.6863 O
0.1813 0.8755 0.9900 O
0.1875 0.1875 0.0000 O
0.2138 0.8525 0.3529 O
0.2763 0.5812 0.3754 O
0.3049 0.7237 0.0421 O
0.3058 0.1245 0.6767 O
0.3296 0.4743 0.0085 O
0.3613 0.1475 0.3137 O
0.4188 0.6951 0.7087 O
0.4662 0.9915 0.6498 O
0.4743 0.3296 0.9915 O
0.4747 0.0085 0.0169 O
0.5253 0.5338 0.3165 O
0.5257 0.8552 0.3418 O
0.5338 0.5253 0.6835 O
0.5812 0.2763 0.6246 O
0.6387 0.7862 0.0196 O
0.6704 0.1448 0.3249 O
0.6942 0.8187 0.6567 O
0.6951 0.4188 0.2913 O
0.7237 0.3049 0.9579 O
0.7862 0.6387 0.9804 O
0.8125 0.0000 0.3333 O
0.8187 0.6942 0.3433 O
0.8525 0.2138 0.6471 O
0.8552 0.5257 0.6582 O
0.8755 0.1813 0.0100 O
0.9221 0.9221 0.0000 O
0.9915 0.4662 0.3502 O
```

Top 6 peaks for 2θ = 5–70°, by intensity:
d 2.810, rel. 100; d 3.650, rel. 85; d 5.620, rel. 37; d 1.745, rel. 31; d 4.800, rel. 28; d 2.905, rel. 27

6.
Computed powder XRD pattern of VOF for Cu Kα (λ = 1.5418 Å), from a crystal structure in the Materials Project, relaxed with PBE+U.
Kinematic intensities with the Lorentz-polarization factor, no thermal factor.

Cell and atoms:
```
VOF
1.0
5.1710 0.0000 0.0000
0.0000 4.9919 0.0000
-1.0467 0.0000 5.0101
V O F
4 4 4
direct
0.1946 0.0323 0.2957 V
0.1946 0.4677 0.7957 V
0.8054 0.5323 0.2043 V
0.8054 0.9677 0.7043 V
0.0433 0.7458 0.5091 O
0.0433 0.7542 0.0091 O
0.9567 0.2458 0.9909 O
0.9567 0.2542 0.4909 O
0.4460 0.1883 0.6457 F
0.4460 0.3117 0.1457 F
0.5540 0.6883 0.8543 F
0.5540 0.8117 0.3543 F
```

Top 6 peaks for 2θ = 5–70°, by intensity:
d 3.118, rel. 100; d 2.720, rel. 68; d 2.215, rel. 35; d 1.777, rel. 33; d 1.750, rel. 31; d 3.536, rel. 26

Please write out number 5 again, unchanged.
Computed powder XRD pattern of HoFe3B4O12 for Cu Kα (λ = 1.5418 Å), from a crystal structure in the Materials Project, relaxed with PBE+U.
Kinematic intensities with the Lorentz-polarization factor, no thermal factor.

Cell and atoms:
```
HoFe3B4O12
1.0
9.6001 0.0000 0.0000
-4.8000 8.3139 0.0000
0.0000 0.0000 7.6275
Ho Fe B O
3 9 12 36
direct
0.0000 0.6644 0.1667 Ho
0.3356 0.3356 0.5000 Ho
0.6644 0.0000 0.8333 Ho
0.0000 0.1160 0.1667 Fe
0.1160 0.0000 0.8333 Fe
0.2121 0.5493 0.8451 Fe
0.3371 0.7879 0.5117 Fe
0.4507 0.6629 0.1784 Fe
0.5493 0.2121 0.1549 Fe
0.6629 0.4507 0.8216 Fe
0.7879 0.3371 0.4883 Fe
0.8840 0.8840 0.5000 Fe
0.0000 0.2213 0.6667 B
0.0000 0.6688 0.6667 B
0.1253 0.4486 0.3493 B
0.2213 0.0000 0.3333 B
0.3233 0.8747 0.0160 B
0.3312 0.3312 0.0000 B
0.4486 0.1253 0.6507 B
0.5514 0.6767 0.6827 B
0.6688 0.0000 0.3333 B
0.6767 0.5514 0.3173 B
0.7787 0.7787 0.0000 B
0.8747 0.3233 0.9840 B
0.0000 0.0779 0.6667 O
0.0000 0.8125 0.6667 O
0.0085 0.4747 0.9831 O
0.0779 0.0000 0.3333 O
0.1245 0.3058 0.3233 O
0.1448 0.6704 0.6751 O
0.1475 0.3613 0.6863 O
0.1813 0.8755 0.9900 O
0.1875 0.1875 0.0000 O
0.2138 0.8525 0.3529 O
0.2763 0.5812 0.3754 O
0.3049 0.7237 0.0421 O
0.3058 0.1245 0.6767 O
0.3296 0.4743 0.0085 O
0.3613 0.1475 0.3137 O
0.4188 0.6951 0.7087 O
0.4662 0.9915 0.6498 O
0.4743 0.3296 0.9915 O
0.4747 0.0085 0.0169 O
0.5253 0.5338 0.3165 O
0.5257 0.8552 0.3418 O
0.5338 0.5253 0.6835 O
0.5812 0.2763 0.6246 O
0.6387 0.7862 0.0196 O
0.6704 0.1448 0.3249 O
0.6942 0.8187 0.6567 O
0.6951 0.4188 0.2913 O
0.7237 0.3049 0.9579 O
0.7862 0.6387 0.9804 O
0.8125 0.0000 0.3333 O
0.8187 0.6942 0.3433 O
0.8525 0.2138 0.6471 O
0.8552 0.5257 0.6582 O
0.8755 0.1813 0.0100 O
0.9221 0.9221 0.0000 O
0.9915 0.4662 0.3502 O
```

Top 6 peaks for 2θ = 5–70°, by intensity:
d 2.810, rel. 100; d 3.650, rel. 85; d 5.620, rel. 37; d 1.745, rel. 31; d 4.800, rel. 28; d 2.905, rel. 27